[1]
U2MnZn16: computed XRD peak list (Cu Ka), based on a DFT-relaxed cell (PBE, Alexandria).
Kinematic intensities with the Lorentz-polarization factor, no thermal factor.

Cell and atoms:
a = 6.7863 Å, b = 6.7863 Å, c = 6.7863 Å
α = 82.69°, β = 82.69°, γ = 82.69°
Fractional coordinates of all 19 atoms:
1 U 0.0000 0.0000 0.0000
2 U 0.3227 0.3227 0.3227
3 Mn 0.7629 0.7629 0.7629
4 Zn 0.0156 0.0156 0.5148
5 Zn 0.0156 0.5148 0.0156
6 Zn 0.1626 0.6650 0.6650
7 Zn 0.3072 0.3072 0.8277
8 Zn 0.3072 0.8277 0.3072
9 Zn 0.3728 0.6646 0.9570
10 Zn 0.3728 0.9570 0.6646
11 Zn 0.5148 0.0156 0.0156
12 Zn 0.5592 0.5592 0.5592
13 Zn 0.6650 0.1626 0.6650
14 Zn 0.6646 0.3728 0.9570
15 Zn 0.6650 0.6650 0.1626
16 Zn 0.6646 0.9570 0.3728
17 Zn 0.8277 0.3072 0.3072
18 Zn 0.9570 0.3728 0.6646
19 Zn 0.9570 0.6646 0.3728

Top 8 peaks for 2θ from 15° to 90°, by angle:
28.5°, d = 3.136 Å, I = 47; 34.7°, d = 2.588 Å, I = 42; 35.8°, d = 2.510 Å, I = 29; 40.2°, d = 2.242 Å, I = 60; 40.5°, d = 2.229 Å, I = 100; 41.2°, d = 2.193 Å, I = 48; 58.9°, d = 1.568 Å, I = 27; 73.1°, d = 1.294 Å, I = 23



[2]
In2Hg6Pb5: computed XRD peak list (Cu Ka), based on a DFT-relaxed cell (PBE, Alexandria).
Kinematic intensities with the Lorentz-polarization factor, no thermal factor.

Cell and atoms:
a = 5.9343 Å, b = 6.6440 Å, c = 9.5346 Å
α = 93.56°, β = 90.67°, γ = 90.51°
Fractional coordinates of all 13 atoms:
1 In 0.1239 0.2486 0.3052
2 In 0.8761 0.7514 0.6948
3 Hg 0.0243 0.1881 0.6600
4 Hg 0.0722 0.2672 0.9841
5 Hg 0.2836 0.5574 0.5626
6 Hg 0.7164 0.4426 0.4374
7 Hg 0.9278 0.7328 0.0159
8 Hg 0.9757 0.8119 0.3400
9 Pb 0.3910 0.8628 0.8533
10 Pb 0.4315 0.6425 0.1693
11 Pb 0.5000 0.0000 0.5000
12 Pb 0.5685 0.3575 0.8307
13 Pb 0.6090 0.1372 0.1467

Top 8 peaks for 2θ from 15° to 90°, by angle:
27.9°, d = 3.196 Å, I = 26; 29.1°, d = 3.072 Å, I = 26; 31.0°, d = 2.882 Å, I = 24; 31.9°, d = 2.806 Å, I = 73; 32.2°, d = 2.783 Å, I = 100; 33.0°, d = 2.716 Å, I = 93; 34.2°, d = 2.622 Å, I = 43; 35.3°, d = 2.543 Å, I = 36